The following is a computed XRD peak list of Ac2YTl2. It was derived from DFT lattice parameters and positions (GGA-PBE), using Cu Kα (λ = 1.5418 Å).
No peak broadening, texture or thermal motion is included.

Peak list (6 most intense, 10 to 90 degrees two-theta, in order of rising 2θ)
| d (Å) | two_theta | I_rel | hkl |
| --- | --- | --- | --- |
| 3.008 | 29.7 | 100 | 2 1 2 |
| 2.665 | 33.6 | 25 | 3 1 0 |
| 2.495 | 36.0 | 17 | 0 0 4 |
| 1.821 | 50.1 | 17 | 3 1 4 |
| 1.522 | 60.9 | 14 | 2 1 6 |
| 1.493 | 62.2 | 14 | 5 2 2 |

Crystal structure
```
data_Ac2YTl2
_chemical_formula_sum 'Ac8 Y4 Tl8'
_cell_length_a 8.429
_cell_length_b 8.429
_cell_length_c 9.978
_cell_angle_alpha 90.00
_cell_angle_beta 90.00
_cell_angle_gamma 90.00
_symmetry_space_group_name_H-M 'P 4/m n c'
_symmetry_Int_Tables_number 128
_symmetry_space_group_name_Hall '-P 4 2n'
loop_
_atom_site_label
_atom_site_fract_x
_atom_site_fract_y
_atom_site_fract_z
_atom_site_occupancy
Ac1 0.169 0.330 0.000 1
Y1 0.000 0.000 0.251 1
Tl1 0.132 0.632 0.250 1
```